1.
Structure and theoretical powder X-ray diffraction pattern of Ce2DyCoHg (a DFT-relaxed cell (GGA-PBE, Alexandria); Cu Kα (λ = 1.5418 Å)).

abc: 4.924 4.924 5.482
angles: 90.00 90.00 90.00
Fractional coordinates of all 5 atoms:
Ce (0.000, 0.000, 0.000)
Ce (0.500, 0.500, 0.003)
Dy (0.500, 0.000, 0.501)
Co (0.500, 0.000, 0.001)
Hg (0.000, 0.500, 0.502)

Most intense lines, 5° ≤ 2θ ≤ 70°, low angle first:
30.41°, 2.939 Å, I = 100
32.67°, 2.741 Å, I = 31
36.50°, 2.462 Å, I = 46
49.78°, 1.832 Å, I = 38
61.96°, 1.498 Å, I = 27
63.29°, 1.469 Å, I = 18



2.
Structure and theoretical powder X-ray diffraction pattern of Cs4Ca3Cl10 (a DFT-relaxed cell (GGA-PBE, Alexandria); Cu Kα (λ = 1.5418 Å)).

abc: 19.974 19.974 19.974
angles: 164.28 164.28 22.30
Fractional coordinates of all 17 atoms:
Cs (0.069, 0.069, 0.000)
Cs (0.202, 0.202, 0.000)
Cs (0.798, 0.798, 0.000)
Cs (0.931, 0.931, 0.000)
Ca (0.360, 0.360, 0.000)
Ca (0.500, 0.500, 0.000)
Ca (0.640, 0.640, 0.000)
Cl (0.000, 0.500, 0.500)
Cl (0.138, 0.638, 0.500)
Cl (0.291, 0.291, 0.000)
Cl (0.362, 0.862, 0.500)
Cl (0.430, 0.430, 0.000)
Cl (0.500, 0.000, 0.500)
Cl (0.570, 0.570, 0.000)
Cl (0.638, 0.138, 0.500)
Cl (0.709, 0.709, 0.000)
Cl (0.862, 0.362, 0.500)

Most intense lines, 5° ≤ 2θ ≤ 70°, low angle first:
22.74°, 3.911 Å, I = 100
23.02°, 3.863 Å, I = 74
29.44°, 3.034 Å, I = 94
32.78°, 2.732 Å, I = 92
40.27°, 2.240 Å, I = 46
46.44°, 1.955 Å, I = 45



3.
Structure and theoretical powder X-ray diffraction pattern of Ac9Ni3Ir (a DFT-relaxed cell (GGA-PBE, Alexandria); Cu Kα (λ = 1.5418 Å)).

abc: 7.123 11.149 11.900
angles: 90.00 96.55 90.00
Fractional coordinates of all 26 atoms:
Ac (0.115, 0.250, 0.192)
Ac (0.148, 0.577, 0.381)
Ac (0.148, 0.923, 0.381)
Ac (0.227, 0.250, 0.869)
Ac (0.267, 0.571, 0.042)
Ac (0.267, 0.929, 0.042)
Ac (0.355, 0.250, 0.532)
Ac (0.365, 0.582, 0.716)
Ac (0.365, 0.918, 0.716)
Ac (0.635, 0.082, 0.284)
Ac (0.635, 0.418, 0.284)
Ac (0.645, 0.750, 0.468)
Ac (0.733, 0.071, 0.958)
Ac (0.733, 0.429, 0.958)
Ac (0.773, 0.750, 0.131)
Ac (0.852, 0.077, 0.619)
Ac (0.852, 0.423, 0.619)
Ac (0.885, 0.750, 0.808)
Ni (0.050, 0.004, 0.832)
Ni (0.050, 0.496, 0.832)
Ni (0.500, 0.000, 0.500)
Ni (0.500, 0.500, 0.500)
Ni (0.950, 0.504, 0.168)
Ni (0.950, 0.996, 0.168)
Ir (0.482, 0.250, 0.085)
Ir (0.518, 0.750, 0.915)

Most intense lines, 5° ≤ 2θ ≤ 70°, low angle first:
27.11°, 3.290 Å, I = 100
27.73°, 3.217 Å, I = 23
28.30°, 3.153 Å, I = 38
29.02°, 3.077 Å, I = 22
48.98°, 1.860 Å, I = 18
52.56°, 1.741 Å, I = 19



4.
Structure and theoretical powder X-ray diffraction pattern of MnBiPdRh (a DFT-relaxed cell (GGA-PBE, Alexandria); Cu Kα (λ = 1.5418 Å)).

abc: 6.538 6.538 6.538
angles: 90.00 90.00 90.00
Fractional coordinates of all 16 atoms:
Mn (0.000, 0.000, 0.000)
Mn (0.000, 0.500, 0.500)
Mn (0.500, 0.000, 0.500)
Mn (0.500, 0.500, 0.000)
Bi (0.000, 0.000, 0.500)
Bi (0.000, 0.500, 0.000)
Bi (0.500, 0.000, 0.000)
Bi (0.500, 0.500, 0.500)
Pd (0.250, 0.250, 0.250)
Pd (0.250, 0.750, 0.750)
Pd (0.750, 0.250, 0.750)
Pd (0.750, 0.750, 0.250)
Rh (0.250, 0.250, 0.750)
Rh (0.250, 0.750, 0.250)
Rh (0.750, 0.250, 0.250)
Rh (0.750, 0.750, 0.750)

Most intense lines, 5° ≤ 2θ ≤ 70°, low angle first:
23.57°, 3.775 Å, I = 23
27.28°, 3.269 Å, I = 1
38.96°, 2.312 Å, I = 100
46.04°, 1.971 Å, I = 13
56.28°, 1.635 Å, I = 17
61.86°, 1.500 Å, I = 6